Record 1
This entry pairs a crystal structure of Na2CrInS4 with its computed powder XRD pattern. Radiation: λ = 1.5418 Å (Cu Kα). Structure: a structure optimized by DFT (PBE).
Kinematic intensities with the Lorentz-polarization factor, no thermal factor.

Structure:
Unit cell a=6.478 b=3.723 c=6.934 alpha=90.00 beta=108.15 gamma=90.00
Space group P2/m (No. 10)
Unique sites:
Na 0.000 0.000 0.000 x1
Na 0.500 0.500 0.000 x1
Cr 0.000 0.500 0.500 x1
In 0.500 0.000 0.500 x1
S 0.216 0.000 0.703 x2
S 0.243 0.500 0.287 x2

Largest 10 diffraction maxima, in order of rising 2θ, 2θ = 10–80°:
Position (°2θ)  I_rel  h k l
13.44  64.4  0 0 1
27.98  16.1  1 1 0
29.07  9.5  2 0 0
33.12  100.0  1 1 1
42.51  15.8  2 0 -3
46.25  31.9  1 1 -3
48.75  20.8  3 1 -1
48.93  10.8  0 2 0
58.79  7.6  1 1 -4
60.33  10.3  2 2 -2

---

Record 2
This entry pairs a crystal structure of Na2Cr2InSe6 with its computed powder XRD pattern. Radiation: λ = 1.5418 Å (Cu Kα). Structure: a structure optimized by DFT (PBE).
Kinematic intensities with the Lorentz-polarization factor, no thermal factor.

Structure:
Unit cell a=6.451 b=11.436 c=7.433 alpha=90.00 beta=106.15 gamma=90.00
Space group C2/m (No. 12)
Unique sites:
Na 0.000 0.159 0.000 x4
Cr 0.000 0.334 0.500 x4
In 0.000 0.000 0.500 x2
Se 0.204 0.500 0.706 x4
Se 0.244 0.182 0.704 x8

Largest 10 diffraction maxima, in order of rising 2θ, 2θ = 10–80°:
Position (°2θ)  I_rel  h k l
12.40  97.0  0 0 1
31.90  100.0  1 3 1
32.57  49.4  2 0 -2
40.17  24.1  1 3 2
40.89  10.0  2 0 -3
43.74  46.4  1 3 -3
47.72  15.6  0 6 0
48.61  30.3  3 3 -1
54.97  13.5  1 3 -4
58.97  16.0  2 6 -2

---

Record 3
This entry pairs a crystal structure of CrInNiPt with its computed powder XRD pattern. Radiation: λ = 1.5418 Å (Cu Kα). Structure: a structure optimized by DFT (PBE).
Kinematic intensities with the Lorentz-polarization factor, no thermal factor.

Structure:
Unit cell a=6.287 b=6.287 c=6.287 alpha=90.00 beta=90.00 gamma=90.00
Space group F-43m (No. 216)
Unique sites:
Cr 0.000 0.000 0.000 x4
In 0.000 0.000 0.500 x4
Ni 0.250 0.250 0.250 x4
Pt 0.250 0.250 0.750 x4

Largest 10 diffraction maxima, in order of rising 2θ, 2θ = 10–80°:
Position (°2θ)  I_rel  h k l
24.52  26.5  1 1 1
28.39  5.1  2 0 0
40.58  100.0  2 2 0
47.99  14.0  3 1 1
50.27  1.6  2 2 2
58.74  16.4  4 0 0
64.61  6.0  3 3 1
66.51  2.2  4 2 0
73.84  32.7  4 2 2
79.15  4.7  5 1 1

---

Record 4
This entry pairs a crystal structure of Cr2In2NiS6 with its computed powder XRD pattern. Radiation: λ = 1.5418 Å (Cu Kα). Structure: a structure optimized by DFT (PBE).
Kinematic intensities with the Lorentz-polarization factor, no thermal factor.

Structure:
Unit cell a=6.171 b=10.787 c=6.691 alpha=90.00 beta=108.95 gamma=90.00
Space group C2/m (No. 12)
Unique sites:
Cr 0.000 0.168 0.000 x4
In 0.000 0.331 0.500 x4
Ni 0.000 0.500 0.000 x2
S 0.237 0.330 0.207 x8
S 0.248 0.000 0.189 x4

Largest 10 diffraction maxima, in order of rising 2θ, 2θ = 10–80°:
Position (°2θ)  I_rel  h k l
17.28  27.2  1 1 0
21.65  18.1  0 2 1
30.19  18.7  1 3 -1
34.38  48.9  2 0 -2
34.66  100.0  1 3 1
48.03  30.3  1 3 -3
48.84  17.5  2 0 2
50.78  17.8  0 6 0
51.17  31.3  3 3 -1
62.77  15.0  2 6 -2